1.
For CaLa3N4, a structure optimized by DFT (PBE) gives the calculated X-ray diffraction stick pattern in this record (Cu Kα X-rays).
Peak positions follow from Bragg's law for the DFT cell and can differ from measured ones.

Atomic structure:
a = 5.2119 Å, b = 5.2119 Å, c = 5.2119 Å
α = 90.00°, β = 90.00°, γ = 90.00°
Fractional coordinates of all 8 atoms:
Ca: 0.0000 0.0000 0.0000
La: 0.0000 0.5000 0.5000
La: 0.5000 0.0000 0.5000
La: 0.5000 0.5000 0.0000
N: 0.0000 0.0000 0.5000
N: 0.0000 0.5000 0.0000
N: 0.5000 0.0000 0.0000
N: 0.5000 0.5000 0.5000

Most intense lines, 2θ from 10° to 80°, in order of rising 2θ:
d [Å]  Rel. int.
5.212  16
3.685  14
3.009  100
2.606  83
2.331  8
2.128  7
1.843  57
1.571  46
1.505  19
1.303  9

=====

2.
For Li3Mg2Ga3, a structure optimized by DFT (PBE) gives the calculated X-ray diffraction stick pattern in this record (Cu Kα X-rays).
Peak positions follow from Bragg's law for the DFT cell and can differ from measured ones.

Atomic structure:
a = 8.0207 Å, b = 8.0207 Å, c = 4.3160 Å
α = 105.52°, β = 105.52°, γ = 31.89°
Fractional coordinates of all 8 atoms:
Li: 0.0000 0.0000 0.0000
Li: 0.1115 0.1115 0.6119
Li: 0.8885 0.8885 0.3881
Mg: 0.2474 0.2474 0.2477
Mg: 0.7526 0.7526 0.7523
Ga: 0.3796 0.3796 0.8798
Ga: 0.5000 0.5000 0.5000
Ga: 0.6204 0.6204 0.1202

Most intense lines, 2θ from 10° to 80°, in order of rising 2θ:
d [Å]  Rel. int.
4.224  77
3.250  37
2.443  20
2.370  100
2.204  20
2.158  19
1.922  18
1.824  14
1.542  18
1.302  14

=====

3.
For LiUTeO2, a structure optimized by DFT (PBE) gives the calculated X-ray diffraction stick pattern in this record (Cu Kα X-rays).
Peak positions follow from Bragg's law for the DFT cell and can differ from measured ones.

Atomic structure:
a = 6.7780 Å, b = 6.7780 Å, c = 6.7780 Å
α = 147.14°, β = 147.14°, γ = 47.15°
Fractional coordinates of all 5 atoms:
Li: 0.0000 0.0000 0.0000
U: 0.6431 0.6431 0.0000
Te: 0.2966 0.2966 0.0000
O: 0.0654 0.5654 0.5000
O: 0.5654 0.0654 0.5000

Most intense lines, 2θ from 10° to 80°, in order of rising 2θ:
d [Å]  Rel. int.
6.212  63
3.664  51
2.814  100
2.711  38
2.485  26
2.085  21
1.917  20
1.699  12
1.646  23
1.584  37